This entry pairs a crystal structure of Er2Ni21P6 with its calculated powder diffractogram. Radiation: copper Kα. Structure: a crystal structure in Alexandria, relaxed with PBE.
Intensities are scaled so that the largest is 100.

Top 6 peaks for 15° ≤ 2θ ≤ 90°, low angle first:
| 2θ/deg | d/Å | intensity |
| --- | --- | --- |
| 35.95 | 2.498 | 59 |
| 39.51 | 2.281 | 54 |
| 42.02 | 2.150 | 100 |
| 45.95 | 1.975 | 54 |
| 54.48 | 1.684 | 33 |
| 71.68 | 1.317 | 38 |

Crystal structure
Cell: 7.9001 7.9001 7.9001 Å, 60.00 60.00 60.00°
Sites, in units of the cell vectors:
Er (0.2500, 0.2500, 0.2500)
Er (0.7500, 0.7500, 0.7500)
Ni (0.0000, 0.0000, 0.0000)
Ni (0.0000, 0.0000, 0.3490)
Ni (0.0000, 0.0000, 0.6510)
Ni (0.0000, 0.3490, 0.0000)
Ni (0.0000, 0.3490, 0.6510)
Ni (0.0000, 0.6510, 0.0000)
Ni (0.0000, 0.6510, 0.3490)
Ni (0.1616, 0.6128, 0.6128)
Ni (0.3490, 0.0000, 0.0000)
Ni (0.3490, 0.0000, 0.6510)
Ni (0.3490, 0.6510, 0.0000)
Ni (0.3872, 0.3872, 0.3872)
Ni (0.3872, 0.3872, 0.8384)
Ni (0.3872, 0.8384, 0.3872)
Ni (0.6128, 0.1616, 0.6128)
Ni (0.6128, 0.6128, 0.1616)
Ni (0.6128, 0.6128, 0.6128)
Ni (0.6510, 0.0000, 0.0000)
Ni (0.6510, 0.0000, 0.3490)
Ni (0.6510, 0.3490, 0.0000)
Ni (0.8384, 0.3872, 0.3872)
P (0.2600, 0.2600, 0.7400)
P (0.2600, 0.7400, 0.2600)
P (0.2600, 0.7400, 0.7400)
P (0.7400, 0.2600, 0.2600)
P (0.7400, 0.2600, 0.7400)
P (0.7400, 0.7400, 0.2600)